[1]
This entry pairs a crystal structure of Pm2Sc2Tl7 with its calculated PXRD pattern. Radiation: Cu Ka. Structure: a crystal structure in Alexandria, relaxed with GGA-PBE.

Main lines, by angle (5 to 70 degrees two-theta):
d_spacing  I/Imax
3.610  506
3.224  939
2.666  1000
2.525  552
2.509  802
2.053  505

Structural model:
Cell: 6.696 6.696 7.991 Å, 90.00 90.00 105.65°
Element x y z (fractional)
Pm 0.191 0.809 0.000
Pm 0.809 0.191 0.000
Sc 0.310 0.310 0.500
Sc 0.690 0.690 0.500
Tl 0.000 0.000 0.302
Tl 0.000 0.000 0.698
Tl 0.000 0.500 0.305
Tl 0.000 0.500 0.695
Tl 0.500 0.000 0.305
Tl 0.500 0.000 0.695
Tl 0.500 0.500 0.000


[2]
This entry pairs a crystal structure of HoScAl2Zn2 with its calculated PXRD pattern. Radiation: Cu Ka. Structure: a crystal structure in Alexandria, relaxed with GGA-PBE.

Main lines, by angle (5 to 70 degrees two-theta):
d_spacing  I/Imax
3.818  184
3.337  513
2.553  1000
2.205  582
1.668  268
1.354  195

Structural model:
Cell: 4.409 4.409 6.865 Å, 90.00 90.00 120.00°
Element x y z (fractional)
Ho 0.000 0.000 0.000
Sc 0.000 0.000 0.500
Al 0.333 0.667 0.272
Al 0.667 0.333 0.728
Zn 0.333 0.667 0.725
Zn 0.667 0.333 0.275


[3]
This entry pairs a crystal structure of DyTlHgSe3 with its calculated PXRD pattern. Radiation: Cu Ka. Structure: a crystal structure in Alexandria, relaxed with GGA-PBE.

Main lines, by angle (5 to 70 degrees two-theta):
d_spacing  I/Imax
7.539  669
3.195  699
3.055  838
3.011  1000
2.758  568
2.101  581

Structural model:
Cell: 8.879 4.262 10.066 Å, 90.00 106.61 90.00°
Element x y z (fractional)
Dy 0.174 0.250 0.138
Dy 0.826 0.750 0.862
Tl 0.283 0.750 0.774
Tl 0.717 0.250 0.226
Hg 0.411 0.750 0.387
Hg 0.589 0.250 0.613
Se 0.040 0.250 0.847
Se 0.260 0.250 0.456
Se 0.393 0.750 0.119
Se 0.607 0.250 0.881
Se 0.740 0.750 0.544
Se 0.960 0.750 0.153